Theoretical PXRD pattern
Compound: Ca4UAl2Si3O15
Radiation: Cu Kα, 1.54184 Å
Structure: a cell relaxed with PBE
Peak positions follow from Bragg's law for the DFT cell and can differ from measured ones.

Structure:
a = 5.1817 Å, b = 5.1817 Å, c = 31.6611 Å
α = 90.00°, β = 90.00°, γ = 120.00°
Space group R-3m (No. 166, hexagonal axes)
Asymmetric unit:
Ca  0.0000  0.0000  0.0991 x6
Ca  0.0000  0.0000  0.3008 x6
U  0.0000  0.0000  0.5000 x3
Al  0.0000  0.0000  0.2015 x6
Si  0.0000  0.0000  0.0000 x3
Si  0.0000  0.0000  0.3989 x6
O  0.0000  0.5000  0.5000 x9
O  0.0006  0.5003  0.6994 x18
O  0.0163  0.5082  0.0992 x18

Most intense lines, 2θ from 10° to 90°, in order of rising 2θ:
2theta	Rel. int.	(hkl)
19.98	33	1 0 1
20.57	32	0 1 2
22.78	22	1 0 4
34.65	100	1 1 0
42.78	43	0 0 15
49.81	48	0 2 10
62.07	29	3 0 0
83.49	17	1 3 10